Diffraction record for Mg4Si7. The PXRD pattern is theoretical, not measured: it uses a crystal structure in Alexandria, relaxed with PBE and CuKα.

Structural model:
```
data_Mg4Si7
_chemical_formula_sum 'Mg8 Si14'
_cell_length_a 14.930
_cell_length_b 14.930
_cell_length_c 6.657
_cell_angle_alpha 92.91
_cell_angle_beta 92.91
_cell_angle_gamma 15.57
_symmetry_space_group_name_H-M 'P 1'
_symmetry_Int_Tables_number 1
loop_
_symmetry_equiv_pos_as_xyz
'x,y,z'
loop_
_atom_site_label
_atom_site_type_symbol
_atom_site_fract_x
_atom_site_fract_y
_atom_site_fract_z
Mg1 Mg 0.000 0.000 0.000
Mg2 Mg 0.022 0.022 0.461
Mg3 Mg 0.103 0.103 0.854
Mg4 Mg 0.140 0.140 0.363
Mg5 Mg 0.357 0.357 0.917
Mg6 Mg 0.566 0.566 0.161
Mg7 Mg 0.730 0.730 0.387
Mg8 Mg 0.772 0.772 0.891
Si1 Si 0.212 0.212 0.066
Si2 Si 0.213 0.213 0.694
Si3 Si 0.290 0.290 0.216
Si4 Si 0.293 0.293 0.590
Si5 Si 0.452 0.452 0.610
Si6 Si 0.457 0.457 0.244
Si7 Si 0.529 0.529 0.767
Si8 Si 0.590 0.590 0.547
Si9 Si 0.660 0.660 0.071
Si10 Si 0.665 0.665 0.706
Si11 Si 0.837 0.837 0.221
Si12 Si 0.841 0.841 0.588
Si13 Si 0.914 0.914 0.114
Si14 Si 0.917 0.917 0.740
```

Most intense lines, 2θ = 10–90°, sorted by position:
2theta, intensity
33.06, 722
33.96, 595
35.20, 310
36.50, 1000
37.29, 644
37.63, 797
40.31, 677
41.94, 253
44.80, 986
45.78, 451



Diffraction record for Mg3Si4. The PXRD pattern is theoretical, not measured: it uses a crystal structure in Alexandria, relaxed with PBE and CuKα.

Structural model:
```
data_Mg3Si4
_chemical_formula_sum 'Mg6 Si8'
_cell_length_a 5.794
_cell_length_b 6.031
_cell_length_c 8.273
_cell_angle_alpha 69.24
_cell_angle_beta 79.81
_cell_angle_gamma 84.84
_symmetry_space_group_name_H-M 'P 1'
_symmetry_Int_Tables_number 1
loop_
_symmetry_equiv_pos_as_xyz
'x,y,z'
loop_
_atom_site_label
_atom_site_type_symbol
_atom_site_fract_x
_atom_site_fract_y
_atom_site_fract_z
Mg1 Mg 0.000 0.000 0.000
Mg2 Mg 0.015 0.458 0.072
Mg3 Mg 0.099 0.448 0.646
Mg4 Mg 0.513 0.733 0.010
Mg5 Mg 0.642 0.525 0.382
Mg6 Mg 0.888 0.952 0.416
Si1 Si 0.176 0.640 0.289
Si2 Si 0.259 0.214 0.363
Si3 Si 0.306 0.006 0.667
Si4 Si 0.425 0.274 0.928
Si5 Si 0.546 0.650 0.688
Si6 Si 0.621 0.213 0.174
Si7 Si 0.688 0.175 0.699
Si8 Si 0.899 0.792 0.770
```

Most intense lines, 2θ = 10–90°, sorted by position:
2theta, intensity
32.38, 406
33.24, 396
34.82, 1000
35.09, 338
35.26, 929
35.96, 300
38.07, 747
40.59, 394
41.79, 551
44.52, 367



Diffraction record for Mg2Si3. The PXRD pattern is theoretical, not measured: it uses a crystal structure in Alexandria, relaxed with PBE and CuKα.

Structural model:
```
data_Mg2Si3
_chemical_formula_sum 'Mg8 Si12'
_cell_length_a 5.323
_cell_length_b 5.323
_cell_length_c 19.112
_cell_angle_alpha 100.52
_cell_angle_beta 100.52
_cell_angle_gamma 41.93
_symmetry_space_group_name_H-M 'P 1'
_symmetry_Int_Tables_number 1
loop_
_symmetry_equiv_pos_as_xyz
'x,y,z'
loop_
_atom_site_label
_atom_site_type_symbol
_atom_site_fract_x
_atom_site_fract_y
_atom_site_fract_z
Mg1 Mg 0.000 0.000 0.000
Mg2 Mg 0.079 0.079 0.216
Mg3 Mg 0.177 0.177 0.504
Mg4 Mg 0.331 0.331 0.862
Mg5 Mg 0.508 0.508 0.360
Mg6 Mg 0.588 0.588 0.752
Mg7 Mg 0.741 0.741 0.107
Mg8 Mg 0.920 0.920 0.613
Si1 Si 0.046 0.046 0.858
Si2 Si 0.213 0.213 0.360
Si3 Si 0.248 0.248 0.683
Si4 Si 0.289 0.289 0.003
Si5 Si 0.363 0.363 0.214
Si6 Si 0.460 0.460 0.504
Si7 Si 0.465 0.465 0.109
Si8 Si 0.634 0.634 0.609
Si9 Si 0.663 0.663 0.934
Si10 Si 0.796 0.796 0.286
Si11 Si 0.841 0.841 0.432
Si12 Si 0.872 0.872 0.753
```

Most intense lines, 2θ = 10–90°, sorted by position:
2theta, intensity
20.80, 216
33.52, 182
35.92, 1000
36.95, 710
38.42, 201
39.78, 472
40.61, 333
41.22, 508
45.14, 270
47.75, 490



Diffraction record for Mg3Si4. The PXRD pattern is theoretical, not measured: it uses a crystal structure in Alexandria, relaxed with PBE and CuKα.

Structural model:
```
data_Mg3Si4
_chemical_formula_sum 'Mg6 Si8'
_cell_length_a 3.821
_cell_length_b 8.230
_cell_length_c 9.491
_cell_angle_alpha 108.52
_cell_angle_beta 90.04
_cell_angle_gamma 103.40
_symmetry_space_group_name_H-M 'P 1'
_symmetry_Int_Tables_number 1
loop_
_symmetry_equiv_pos_as_xyz
'x,y,z'
loop_
_atom_site_label
_atom_site_type_symbol
_atom_site_fract_x
_atom_site_fract_y
_atom_site_fract_z
Mg1 Mg 0.000 0.000 0.000
Mg2 Mg 0.005 0.007 0.380
Mg3 Mg 0.196 0.391 0.326
Mg4 Mg 0.369 0.734 0.147
Mg5 Mg 0.685 0.370 0.051
Mg6 Mg 0.812 0.619 0.633
Si1 Si 0.087 0.174 0.799
Si2 Si 0.241 0.477 0.810
Si3 Si 0.391 0.778 0.507
Si4 Si 0.545 0.089 0.639
Si5 Si 0.556 0.112 0.214
Si6 Si 0.636 0.269 0.479
Si7 Si 0.825 0.645 0.922
Si8 Si 0.830 0.657 0.336
```

Most intense lines, 2θ = 10–90°, sorted by position:
2theta, intensity
23.52, 303
32.10, 471
32.56, 1000
36.61, 322
37.10, 702
37.78, 379
37.93, 706
47.59, 709
47.75, 365
48.38, 354